Diffraction record for AcPm2UO8. The powder diffractogram is simulated, not measured: it uses DFT lattice parameters and positions (GGA-PBE) and CuKα.

Structural model:
```
data_AcPm2UO8
_chemical_formula_sum 'Ac1 Pm2 U1 O8'
_cell_length_a 4.007
_cell_length_b 7.911
_cell_length_c 5.506
_cell_angle_alpha 90.00
_cell_angle_beta 90.12
_cell_angle_gamma 90.00
_space_group_name_H-M_alt 'P 1 2/m 1'
_space_group_IT_number 10
loop_
_space_group_symop_operation_xyz
'x,y,z'
'-x,-y,-z'
'-x,y,-z'
'x,-y,z'
loop_
_atom_site_label
_atom_site_type_symbol
_atom_site_fract_x
_atom_site_fract_y
_atom_site_fract_z
Ac1 Ac 0.000 0.000 0.000
Pm1 Pm 0.500 0.267 0.500
U1 U 0.000 0.500 0.000
O1 O 0.001 0.286 0.761
O2 O 0.498 0.500 0.224
O3 O 0.500 0.000 0.277
```

Top 8 peaks for 2θ from 10° to 90°, by intensity:
Position (°2θ), Rel. int., index
27.53, 100, 1 0 1
27.77, 94, 0 2 1
46.12, 64, 1 2 2
31.79, 45, 1 2 0
53.94, 31, 2 2 1
54.35, 29, 1 4 1
32.52, 22, 0 0 2
45.26, 18, 2 0 0